Starting from a crystal structure in Alexandria, relaxed with GGA-PBE, the powder diffractogram of Tl3Pb5 was simulated for Cu Kα (λ = 1.5418 Å).
Lines closer than 0.1° are merged.

Atomic structure:
```
data_Tl3Pb5
_chemical_formula_sum 'Tl6 Pb10'
_cell_length_a 10.0360
_cell_length_b 10.1363
_cell_length_c 4.8946
_cell_angle_alpha 90.00
_cell_angle_beta 90.00
_cell_angle_gamma 90.00
_symmetry_space_group_name_H-M 'P 1'
_symmetry_Int_Tables_number 1
_symmetry_space_group_name_Hall 'P 1'
loop_
_atom_site_label
_atom_site_type_symbol
_atom_site_fract_x
_atom_site_fract_y
_atom_site_fract_z
Tl1 Tl 0.0000 0.0000 0.0000
Tl2 Tl 0.0000 0.2493 0.5000
Tl3 Tl 0.0000 0.7507 0.5000
Tl4 Tl 0.5000 0.2507 0.5000
Tl5 Tl 0.5000 0.5000 0.0000
Tl6 Tl 0.5000 0.7493 0.5000
Pb1 Pb 0.0000 0.5000 0.0000
Pb2 Pb 0.2490 0.5000 0.5000
Pb3 Pb 0.2500 0.2500 0.0000
Pb4 Pb 0.2500 0.7500 0.0000
Pb5 Pb 0.2510 0.0000 0.5000
Pb6 Pb 0.5000 0.0000 0.0000
Pb7 Pb 0.7490 0.0000 0.5000
Pb8 Pb 0.7500 0.2500 0.0000
Pb9 Pb 0.7500 0.7500 0.0000
Pb10 Pb 0.7510 0.5000 0.5000
```

The 12 most intense peaks (2θ from 10° to 80°), sorted by position:
- 31.03 deg, 2.882 Å, I 100
- 35.42 deg, 2.534 Å, I 18
- 35.79 deg, 2.509 Å, I 17
- 36.72 deg, 2.447 Å, I 16
- 51.24 deg, 1.783 Å, I 13
- 51.94 deg, 1.760 Å, I 12
- 52.21 deg, 1.752 Å, I 12
- 60.88 deg, 1.522 Å, I 15
- 61.36 deg, 1.511 Å, I 15
- 62.61 deg, 1.484 Å, I 14
- 64.68 deg, 1.441 Å, I 13
- 74.95 deg, 1.267 Å, I 2



Starting from a crystal structure in Alexandria, relaxed with GGA-PBE, the powder diffractogram of Sr2ZnAgH6 was simulated for Cu Kα (λ = 1.5418 Å).
Lines closer than 0.1° are merged.

Atomic structure:
```
data_Sr2ZnAgH6
_chemical_formula_sum 'Sr2 Zn1 Ag1 H6'
_cell_length_a 5.8102
_cell_length_b 5.8102
_cell_length_c 5.8102
_cell_angle_alpha 124.55
_cell_angle_beta 124.55
_cell_angle_gamma 82.28
_symmetry_space_group_name_H-M 'P 1'
_symmetry_Int_Tables_number 1
_symmetry_space_group_name_Hall 'P 1'
loop_
_atom_site_label
_atom_site_type_symbol
_atom_site_fract_x
_atom_site_fract_y
_atom_site_fract_z
Sr1 Sr 0.0000 0.5000 0.5000
Sr2 Sr 0.5000 0.0000 0.5000
Zn1 Zn 0.2213 0.2213 0.0000
Ag1 Ag 0.7505 0.7505 0.0000
H1 H 0.4196 0.4196 0.0000
H2 H 0.4308 0.4308 0.4853
H3 H 0.4308 0.9455 0.0000
H4 H 0.9455 0.4308 0.0000
H5 H 0.9455 0.9455 0.5147
H6 H 0.9593 0.9593 0.0000
```

The 12 most intense peaks (2θ from 10° to 80°), sorted by position:
- 19.30 deg, 4.599 Å, I 5
- 31.07 deg, 2.879 Å, I 100
- 33.14 deg, 2.703 Å, I 43
- 41.27 deg, 2.188 Å, I 11
- 47.57 deg, 1.911 Å, I 16
- 53.91 deg, 1.701 Å, I 19
- 57.91 deg, 1.592 Å, I 33
- 64.77 deg, 1.439 Å, I 11
- 68.91 deg, 1.363 Å, I 8
- 69.56 deg, 1.352 Å, I 5
- 78.12 deg, 1.223 Å, I 7
- 79.25 deg, 1.209 Å, I 7



Starting from a crystal structure in Alexandria, relaxed with GGA-PBE, the powder diffractogram of Rb2MnTe2S6 was simulated for Cu Kα (λ = 1.5418 Å).
Lines closer than 0.1° are merged.

Atomic structure:
```
data_Rb2MnTe2S6
_chemical_formula_sum 'Rb4 Mn2 Te4 S12'
_cell_length_a 6.9328
_cell_length_b 6.9328
_cell_length_c 15.6551
_cell_angle_alpha 90.00
_cell_angle_beta 90.00
_cell_angle_gamma 120.00
_symmetry_space_group_name_H-M 'P 1'
_symmetry_Int_Tables_number 1
_symmetry_space_group_name_Hall 'P 1'
loop_
_atom_site_label
_atom_site_type_symbol
_atom_site_fract_x
_atom_site_fract_y
_atom_site_fract_z
Rb1 Rb 0.3333 0.6667 0.2855
Rb2 Rb 0.3333 0.6667 0.7855
Rb3 Rb 0.6667 0.3333 0.2145
Rb4 Rb 0.6667 0.3333 0.7145
Mn1 Mn 0.0000 0.0000 0.0000
Mn2 Mn 0.0000 0.0000 0.5000
Te1 Te 0.3333 0.6667 0.0325
Te2 Te 0.3333 0.6667 0.5325
Te3 Te 0.6667 0.3333 0.4675
Te4 Te 0.6667 0.3333 0.9675
S1 S 0.0800 0.3255 0.1034
S2 S 0.0800 0.7544 0.6034
S3 S 0.2456 0.3255 0.6034
S4 S 0.2456 0.9200 0.1034
S5 S 0.3255 0.0800 0.3966
S6 S 0.3255 0.2456 0.8966
S7 S 0.6745 0.7544 0.1034
S8 S 0.6745 0.9200 0.6034
S9 S 0.7544 0.0800 0.8966
S10 S 0.7544 0.6745 0.3966
S11 S 0.9200 0.2456 0.3966
S12 S 0.9200 0.6745 0.8966
```

The 12 most intense peaks (2θ from 10° to 80°), sorted by position:
- 11.30 deg, 7.828 Å, I 46
- 14.75 deg, 6.004 Å, I 31
- 25.70 deg, 3.466 Å, I 91
- 27.20 deg, 3.279 Å, I 100
- 29.76 deg, 3.002 Å, I 20
- 34.57 deg, 2.595 Å, I 88
- 45.31 deg, 2.001 Å, I 36
- 46.24 deg, 1.963 Å, I 42
- 48.96 deg, 1.861 Å, I 23
- 56.10 deg, 1.639 Å, I 27
- 60.41 deg, 1.532 Å, I 23
- 62.69 deg, 1.482 Å, I 23



Starting from a crystal structure in Alexandria, relaxed with GGA-PBE, the powder diffractogram of TbGa3Pt5 was simulated for Cu Kα (λ = 1.5418 Å).
Lines closer than 0.1° are merged.

Atomic structure:
```
data_TbGa3Pt5
_chemical_formula_sum 'Tb2 Ga6 Pt10'
_cell_length_a 6.9184
_cell_length_b 6.9184
_cell_length_c 13.1031
_cell_angle_alpha 90.00
_cell_angle_beta 90.00
_cell_angle_gamma 147.43
_symmetry_space_group_name_H-M 'P 1'
_symmetry_Int_Tables_number 1
_symmetry_space_group_name_Hall 'P 1'
loop_
_atom_site_label
_atom_site_type_symbol
_atom_site_fract_x
_atom_site_fract_y
_atom_site_fract_z
Tb1 Tb 0.1029 0.8971 0.7500
Tb2 Tb 0.8971 0.1029 0.2500
Ga1 Ga 0.1347 0.8653 0.2500
Ga2 Ga 0.3781 0.6219 0.0389
Ga3 Ga 0.3781 0.6219 0.4611
Ga4 Ga 0.6219 0.3781 0.5389
Ga5 Ga 0.6219 0.3781 0.9611
Ga6 Ga 0.8653 0.1347 0.7500
Pt1 Pt 0.0000 0.0000 0.0000
Pt2 Pt 0.0000 0.0000 0.5000
Pt3 Pt 0.1993 0.8007 0.0726
Pt4 Pt 0.1993 0.8007 0.4274
Pt5 Pt 0.4599 0.5401 0.6482
Pt6 Pt 0.4599 0.5401 0.8518
Pt7 Pt 0.5401 0.4599 0.1482
Pt8 Pt 0.5401 0.4599 0.3518
Pt9 Pt 0.8007 0.1993 0.5726
Pt10 Pt 0.8007 0.1993 0.9274
```

The 12 most intense peaks (2θ from 10° to 80°), sorted by position:
- 13.33 deg, 6.641 Å, I 38
- 13.52 deg, 6.552 Å, I 25
- 30.64 deg, 2.918 Å, I 28
- 31.41 deg, 2.848 Å, I 45
- 31.57 deg, 2.834 Å, I 55
- 33.62 deg, 2.665 Å, I 20
- 36.53 deg, 2.460 Å, I 69
- 41.41 deg, 2.180 Å, I 49
- 42.17 deg, 2.143 Å, I 25
- 43.57 deg, 2.077 Å, I 100
- 44.02 deg, 2.057 Å, I 31
- 46.83 deg, 1.940 Å, I 45



Starting from a crystal structure in Alexandria, relaxed with GGA-PBE, the powder diffractogram of DyZn6CuNi was simulated for Cu Kα (λ = 1.5418 Å).
Lines closer than 0.1° are merged.

Atomic structure:
```
data_DyZn6CuNi
_chemical_formula_sum 'Dy2 Zn12 Cu2 Ni2'
_cell_length_a 7.5979
_cell_length_b 7.5979
_cell_length_c 7.5979
_cell_angle_alpha 125.52
_cell_angle_beta 113.09
_cell_angle_gamma 91.54
_symmetry_space_group_name_H-M 'P 1'
_symmetry_Int_Tables_number 1
_symmetry_space_group_name_Hall 'P 1'
loop_
_atom_site_label
_atom_site_type_symbol
_atom_site_fract_x
_atom_site_fract_y
_atom_site_fract_z
Dy1 Dy 0.4375 0.1875 0.2500
Dy2 Dy 0.5625 0.8125 0.7500
Zn1 Zn 0.1260 0.4330 0.3077
Zn2 Zn 0.1260 0.8183 0.6930
Zn3 Zn 0.1545 0.9045 0.2500
Zn4 Zn 0.2538 0.5038 0.7500
Zn5 Zn 0.3747 0.1817 0.8077
Zn6 Zn 0.3747 0.5670 0.1930
Zn7 Zn 0.6253 0.4330 0.8070
Zn8 Zn 0.6253 0.8183 0.1923
Zn9 Zn 0.7462 0.4962 0.2500
Zn10 Zn 0.8455 0.0955 0.7500
Zn11 Zn 0.8740 0.1817 0.3070
Zn12 Zn 0.8740 0.5670 0.6923
Cu1 Cu 0.0000 0.0000 0.5000
Cu2 Cu 0.0000 0.5000 0.0000
Ni1 Ni 0.0000 0.0000 0.0000
Ni2 Ni 0.5000 0.0000 0.5000
```

The 12 most intense peaks (2θ from 10° to 80°), sorted by position:
- 27.14 deg, 3.286 Å, I 16
- 29.05 deg, 3.074 Å, I 39
- 33.49 deg, 2.676 Å, I 63
- 35.66 deg, 2.518 Å, I 100
- 37.87 deg, 2.376 Å, I 51
- 39.80 deg, 2.265 Å, I 22
- 40.27 deg, 2.239 Å, I 24
- 43.20 deg, 2.094 Å, I 55
- 46.87 deg, 1.938 Å, I 20
- 48.34 deg, 1.883 Å, I 32
- 49.17 deg, 1.853 Å, I 24
- 77.12 deg, 1.237 Å, I 18



Starting from a crystal structure in Alexandria, relaxed with GGA-PBE, the powder diffractogram of NaTbBr3 was simulated for Cu Kα (λ = 1.5418 Å).
Lines closer than 0.1° are merged.

Atomic structure:
```
data_NaTbBr3
_chemical_formula_sum 'Na2 Tb2 Br6'
_cell_length_a 7.8858
_cell_length_b 7.8858
_cell_length_c 6.7146
_cell_angle_alpha 90.01
_cell_angle_beta 90.01
_cell_angle_gamma 59.95
_symmetry_space_group_name_H-M 'P 1'
_symmetry_Int_Tables_number 1
_symmetry_space_group_name_Hall 'P 1'
loop_
_atom_site_label
_atom_site_type_symbol
_atom_site_fract_x
_atom_site_fract_y
_atom_site_fract_z
Na1 Na 0.1669 0.1669 0.2497
Na2 Na 0.8331 0.8331 0.7503
Tb1 Tb 0.5000 0.5000 0.0000
Tb2 Tb 0.5000 0.5000 0.5000
Br1 Br 0.1579 0.6711 0.2500
Br2 Br 0.3291 0.3291 0.7499
Br3 Br 0.3289 0.8421 0.7500
Br4 Br 0.6711 0.1579 0.2500
Br5 Br 0.6709 0.6709 0.2501
Br6 Br 0.8421 0.3289 0.7500
```

The 12 most intense peaks (2θ from 10° to 80°), sorted by position:
- 12.97 deg, 6.828 Å, I 100
- 29.35 deg, 3.043 Å, I 51
- 29.65 deg, 3.013 Å, I 17
- 34.76 deg, 2.581 Å, I 24
- 35.11 deg, 2.556 Å, I 26
- 37.58 deg, 2.394 Å, I 41
- 46.05 deg, 1.971 Å, I 24
- 48.31 deg, 1.884 Å, I 11
- 48.64 deg, 1.872 Å, I 12
- 60.88 deg, 1.522 Å, I 10
- 74.20 deg, 1.278 Å, I 11
- 79.59 deg, 1.204 Å, I 9



Starting from a crystal structure in Alexandria, relaxed with GGA-PBE, the powder diffractogram of AcGa3Si3 was simulated for Cu Kα (λ = 1.5418 Å).
Lines closer than 0.1° are merged.

Atomic structure:
```
data_AcGa3Si3
_chemical_formula_sum 'Ac2 Ga6 Si6'
_cell_length_a 6.8644
_cell_length_b 6.8644
_cell_length_c 6.8644
_cell_angle_alpha 90.00
_cell_angle_beta 90.00
_cell_angle_gamma 90.00
_symmetry_space_group_name_H-M 'P 1'
_symmetry_Int_Tables_number 1
_symmetry_space_group_name_Hall 'P 1'
loop_
_atom_site_label
_atom_site_type_symbol
_atom_site_fract_x
_atom_site_fract_y
_atom_site_fract_z
Ac1 Ac 0.0000 0.0000 0.0000
Ac2 Ac 0.5000 0.5000 0.5000
Ga1 Ga 0.0000 0.2500 0.5000
Ga2 Ga 0.0000 0.7500 0.5000
Ga3 Ga 0.2500 0.5000 0.0000
Ga4 Ga 0.5000 0.0000 0.2500
Ga5 Ga 0.5000 0.0000 0.7500
Ga6 Ga 0.7500 0.5000 0.0000
Si1 Si 0.0000 0.5000 0.2500
Si2 Si 0.0000 0.5000 0.7500
Si3 Si 0.2500 0.0000 0.5000
Si4 Si 0.5000 0.2500 0.0000
Si5 Si 0.5000 0.7500 0.0000
Si6 Si 0.7500 0.0000 0.5000
```

The 12 most intense peaks (2θ from 10° to 80°), sorted by position:
- 18.28 deg, 4.854 Å, I 24
- 25.96 deg, 3.432 Å, I 42
- 29.09 deg, 3.070 Å, I 10
- 31.94 deg, 2.802 Å, I 100
- 41.60 deg, 2.171 Å, I 7
- 49.70 deg, 1.835 Å, I 58
- 53.39 deg, 1.716 Å, I 15
- 60.30 deg, 1.535 Å, I 16
- 63.57 deg, 1.464 Å, I 14
- 69.87 deg, 1.346 Å, I 5
- 75.92 deg, 1.253 Å, I 17
- 78.88 deg, 1.213 Å, I 10



Starting from a crystal structure in Alexandria, relaxed with GGA-PBE, the powder diffractogram of Tb6NdTh4 was simulated for Cu Kα (λ = 1.5418 Å).
Lines closer than 0.1° are merged.

Atomic structure:
```
data_Tb6NdTh4
_chemical_formula_sum 'Tb6 Nd1 Th4'
_cell_length_a 18.2112
_cell_length_b 18.2112
_cell_length_c 18.2112
_cell_angle_alpha 169.13
_cell_angle_beta 161.34
_cell_angle_gamma 21.64
_symmetry_space_group_name_H-M 'P 1'
_symmetry_Int_Tables_number 1
_symmetry_space_group_name_Hall 'P 1'
loop_
_atom_site_label
_atom_site_type_symbol
_atom_site_fract_x
_atom_site_fract_y
_atom_site_fract_z
Tb1 Tb 0.0968 0.0968 0.0000
Tb2 Tb 0.2674 0.2674 0.0000
Tb3 Tb 0.3684 0.3684 0.0000
Tb4 Tb 0.6316 0.6316 0.0000
Tb5 Tb 0.7326 0.7326 0.0000
Tb6 Tb 0.9032 0.9032 0.0000
Nd1 Nd 0.0000 0.5000 0.5000
Th1 Th 0.1827 0.6827 0.5000
Th2 Th 0.4557 0.9557 0.5000
Th3 Th 0.5443 0.0443 0.5000
Th4 Th 0.8173 0.3173 0.5000
```

The 12 most intense peaks (2θ from 10° to 80°), sorted by position:
- 26.91 deg, 3.313 Å, I 29
- 28.73 deg, 3.107 Å, I 19
- 30.27 deg, 2.952 Å, I 59
- 31.40 deg, 2.849 Å, I 100
- 31.67 deg, 2.826 Å, I 16
- 33.64 deg, 2.664 Å, I 38
- 36.24 deg, 2.479 Å, I 46
- 40.94 deg, 2.204 Å, I 19
- 54.49 deg, 1.684 Å, I 22
- 62.36 deg, 1.489 Å, I 15
- 63.00 deg, 1.475 Å, I 35
- 79.57 deg, 1.205 Å, I 15



Starting from a crystal structure in Alexandria, relaxed with GGA-PBE, the powder diffractogram of Ca2Ni4As3Rh was simulated for Cu Kα (λ = 1.5418 Å).
Lines closer than 0.1° are merged.

Atomic structure:
```
data_Ca2Ni4As3Rh
_chemical_formula_sum 'Ca2 Ni4 As3 Rh1'
_cell_length_a 4.0245
_cell_length_b 4.0245
_cell_length_c 10.0657
_cell_angle_alpha 90.00
_cell_angle_beta 90.00
_cell_angle_gamma 90.00
_symmetry_space_group_name_H-M 'P 1'
_symmetry_Int_Tables_number 1
_symmetry_space_group_name_Hall 'P 1'
loop_
_atom_site_label
_atom_site_type_symbol
_atom_site_fract_x
_atom_site_fract_y
_atom_site_fract_z
Ca1 Ca 0.0000 0.5000 0.2493
Ca2 Ca 0.5000 0.0000 0.7507
Ni1 Ni 0.0000 0.0000 0.0000
Ni2 Ni 0.0000 0.5000 0.6406
Ni3 Ni 0.5000 0.0000 0.3594
Ni4 Ni 0.5000 0.5000 0.0000
As1 As 0.0000 0.5000 0.8704
As2 As 0.5000 0.0000 0.1296
As3 As 0.5000 0.5000 0.5000
Rh1 Rh 0.0000 0.0000 0.5000
```

The 12 most intense peaks (2θ from 10° to 80°), sorted by position:
- 17.62 deg, 5.033 Å, I 31
- 23.81 deg, 3.737 Å, I 28
- 34.81 deg, 2.577 Å, I 37
- 36.26 deg, 2.477 Å, I 100
- 45.05 deg, 2.012 Å, I 67
- 48.28 deg, 1.885 Å, I 59
- 48.74 deg, 1.868 Å, I 9
- 50.70 deg, 1.800 Å, I 22
- 58.16 deg, 1.586 Å, I 15
- 65.61 deg, 1.423 Å, I 22
- 70.14 deg, 1.342 Å, I 16
- 77.34 deg, 1.234 Å, I 20



Starting from a crystal structure in Alexandria, relaxed with GGA-PBE, the powder diffractogram of Ca3Zn8Hg3 was simulated for Cu Kα (λ = 1.5418 Å).
Lines closer than 0.1° are merged.

Atomic structure:
```
data_Ca3Zn8Hg3
_chemical_formula_sum 'Ca3 Zn8 Hg3'
_cell_length_a 8.5866
_cell_length_b 8.5866
_cell_length_c 8.5866
_cell_angle_alpha 149.73
_cell_angle_beta 113.41
_cell_angle_gamma 74.87
_symmetry_space_group_name_H-M 'P 1'
_symmetry_Int_Tables_number 1
_symmetry_space_group_name_Hall 'P 1'
loop_
_atom_site_label
_atom_site_type_symbol
_atom_site_fract_x
_atom_site_fract_y
_atom_site_fract_z
Ca1 Ca 0.0000 0.0000 0.0000
Ca2 Ca 0.3090 0.3090 0.0000
Ca3 Ca 0.6910 0.6910 0.0000
Zn1 Zn 0.0417 0.6766 0.3651
Zn2 Zn 0.1277 0.8575 0.2702
Zn3 Zn 0.3114 0.6766 0.6349
Zn4 Zn 0.4127 0.1425 0.2702
Zn5 Zn 0.5873 0.8575 0.7298
Zn6 Zn 0.6886 0.3234 0.3651
Zn7 Zn 0.8723 0.1425 0.7298
Zn8 Zn 0.9583 0.3234 0.6349
Hg1 Hg 0.2679 0.5000 0.7679
Hg2 Hg 0.5000 0.0000 0.5000
Hg3 Hg 0.7321 0.5000 0.2321
```

The 12 most intense peaks (2θ from 10° to 80°), sorted by position:
- 11.41 deg, 7.754 Å, I 20
- 12.98 deg, 6.818 Å, I 31
- 18.83 deg, 4.713 Å, I 17
- 28.24 deg, 3.160 Å, I 37
- 33.92 deg, 2.643 Å, I 100
- 37.35 deg, 2.407 Å, I 24
- 39.66 deg, 2.273 Å, I 25
- 40.23 deg, 2.242 Å, I 31
- 40.50 deg, 2.227 Å, I 16
- 43.32 deg, 2.089 Å, I 25
- 57.77 deg, 1.596 Å, I 16
- 66.31 deg, 1.410 Å, I 14



Starting from a crystal structure in Alexandria, relaxed with GGA-PBE, the powder diffractogram of Na2PdF5 was simulated for Cu Kα (λ = 1.5418 Å).
Lines closer than 0.1° are merged.

Atomic structure:
```
data_Na2PdF5
_chemical_formula_sum 'Na2 Pd1 F5'
_cell_length_a 4.4147
_cell_length_b 5.7227
_cell_length_c 5.9615
_cell_angle_alpha 69.98
_cell_angle_beta 68.34
_cell_angle_gamma 67.32
_symmetry_space_group_name_H-M 'P 1'
_symmetry_Int_Tables_number 1
_symmetry_space_group_name_Hall 'P 1'
loop_
_atom_site_label
_atom_site_type_symbol
_atom_site_fract_x
_atom_site_fract_y
_atom_site_fract_z
Na1 Na 0.2039 0.3440 0.2497
Na2 Na 0.7961 0.6560 0.7503
Pd1 Pd 0.0000 0.0000 0.0000
F1 F 0.0455 0.2399 0.6677
F2 F 0.2276 0.6858 0.8581
F3 F 0.5000 0.0000 0.0000
F4 F 0.7724 0.3142 0.1419
F5 F 0.9545 0.7601 0.3323
```

The 12 most intense peaks (2θ from 10° to 80°), sorted by position:
- 16.45 deg, 5.388 Å, I 90
- 17.27 deg, 5.134 Å, I 34
- 20.93 deg, 4.244 Å, I 19
- 22.70 deg, 3.917 Å, I 100
- 24.15 deg, 3.686 Å, I 17
- 26.63 deg, 3.347 Å, I 36
- 32.61 deg, 2.746 Å, I 16
- 35.03 deg, 2.561 Å, I 32
- 40.88 deg, 2.207 Å, I 31
- 41.32 deg, 2.185 Å, I 23
- 49.71 deg, 1.834 Å, I 25
- 54.90 deg, 1.672 Å, I 20



Starting from a crystal structure in Alexandria, relaxed with GGA-PBE, the powder diffractogram of Pm3Pr6Nd2Cd was simulated for Cu Kα (λ = 1.5418 Å).
Lines closer than 0.1° are merged.

Atomic structure:
```
data_Pm3Pr6Nd2Cd
_chemical_formula_sum 'Pm3 Pr6 Nd2 Cd1'
_cell_length_a 6.3230
_cell_length_b 6.3230
_cell_length_c 12.0428
_cell_angle_alpha 95.07
_cell_angle_beta 95.07
_cell_angle_gamma 120.07
_symmetry_space_group_name_H-M 'P 1'
_symmetry_Int_Tables_number 1
_symmetry_space_group_name_Hall 'P 1'
loop_
_atom_site_label
_atom_site_type_symbol
_atom_site_fract_x
_atom_site_fract_y
_atom_site_fract_z
Pm1 Pm 0.0000 0.0000 0.0000
Pm2 Pm 0.3331 0.6669 0.0000
Pm3 Pm 0.6669 0.3331 0.0000
Pr1 Pr 0.0908 0.4187 0.2527
Pr2 Pr 0.2539 0.2539 0.7486
Pr3 Pr 0.4187 0.0908 0.2527
Pr4 Pr 0.5813 0.9092 0.7473
Pr5 Pr 0.7461 0.7461 0.2514
Pr6 Pr 0.9092 0.5813 0.7473
Nd1 Nd 0.1673 0.8327 0.5000
Nd2 Nd 0.8327 0.1673 0.5000
Cd1 Cd 0.5000 0.5000 0.5000
```

The 12 most intense peaks (2θ from 10° to 80°), sorted by position:
- 30.01 deg, 2.978 Å, I 100
- 30.16 deg, 2.963 Å, I 33
- 34.83 deg, 2.576 Å, I 67
- 49.99 deg, 1.825 Å, I 24
- 50.18 deg, 1.818 Å, I 24
- 59.43 deg, 1.555 Å, I 29
- 59.54 deg, 1.553 Å, I 14
- 59.64 deg, 1.550 Å, I 9
- 59.75 deg, 1.548 Å, I 5
- 62.37 deg, 1.489 Å, I 12
- 62.71 deg, 1.482 Å, I 4
- 73.48 deg, 1.289 Å, I 5



Starting from a crystal structure in Alexandria, relaxed with GGA-PBE, the powder diffractogram of CrAg3S4 was simulated for Cu Kα (λ = 1.5418 Å).
Lines closer than 0.1° are merged.

Atomic structure:
```
data_CrAg3S4
_chemical_formula_sum 'Cr2 Ag6 S8'
_cell_length_a 5.6942
_cell_length_b 5.6942
_cell_length_c 10.9472
_cell_angle_alpha 90.00
_cell_angle_beta 90.00
_cell_angle_gamma 90.00
_symmetry_space_group_name_H-M 'P 1'
_symmetry_Int_Tables_number 1
_symmetry_space_group_name_Hall 'P 1'
loop_
_atom_site_label
_atom_site_type_symbol
_atom_site_fract_x
_atom_site_fract_y
_atom_site_fract_z
Cr1 Cr 0.0000 0.0000 0.0000
Cr2 Cr 0.5000 0.5000 0.5000
Ag1 Ag 0.0000 0.0000 0.5000
Ag2 Ag 0.0000 0.5000 0.2500
Ag3 Ag 0.0000 0.5000 0.7500
Ag4 Ag 0.5000 0.0000 0.2500
Ag5 Ag 0.5000 0.0000 0.7500
Ag6 Ag 0.5000 0.5000 0.0000
S1 S 0.2202 0.2202 0.8886
S2 S 0.2202 0.7798 0.1114
S3 S 0.2798 0.2798 0.3886
S4 S 0.2798 0.7202 0.6114
S5 S 0.7202 0.2798 0.6114
S6 S 0.7202 0.7202 0.3886
S7 S 0.7798 0.2202 0.1114
S8 S 0.7798 0.7798 0.8886
```

The 12 most intense peaks (2θ from 10° to 80°), sorted by position:
- 27.50 deg, 3.243 Å, I 100
- 31.42 deg, 2.847 Å, I 15
- 32.72 deg, 2.737 Å, I 7
- 36.22 deg, 2.480 Å, I 4
- 45.03 deg, 2.013 Å, I 18
- 46.00 deg, 1.973 Å, I 35
- 53.58 deg, 1.710 Å, I 28
- 55.28 deg, 1.662 Å, I 13
- 56.77 deg, 1.622 Å, I 6
- 65.58 deg, 1.424 Å, I 5
- 72.52 deg, 1.304 Å, I 5
- 73.96 deg, 1.282 Å, I 11